Entry 1:
Structure and calculated X-ray powder pattern of RbHfAgF6 (the GGA-PBE geometry in Alexandria; CuKα).

Most intense lines, 10 to 90 degrees two-theta, in order of falling intensity:
two_theta	I (rel.)	(hkl)
23.16	100	1 0 2
44.06	56	1 1 4
28.71	56	1 1 0
16.18	38	0 0 2
33.13	31	1 1 2
47.67	27	2 1 2
37.21	26	2 0 2
50.87	20	3 0 0
18.36	17	1 0 1
69.53	14	4 -2 4
61.79	13	3 0 4
16.46	11	1 0 0

Crystal structure
```
data_RbHfAgF6
_chemical_formula_sum 'Rb2 Hf2 Ag2 F12'
_symmetry_space_group_name_H-M 'P -3 1 c'
_symmetry_Int_Tables_number 163
_symmetry_space_group_name_Hall '-P 3 2c'
_cell_length_a 6.2180
_cell_length_b 6.2180
_cell_length_c 10.9571
_cell_angle_alpha 90.00
_cell_angle_beta 90.00
_cell_angle_gamma 120.00
loop_
_atom_site_label
_atom_site_type_symbol
_atom_site_fract_x
_atom_site_fract_y
_atom_site_fract_z
_atom_site_occupancy
Rb1 Rb 0.0000 0.0000 0.0000 1
Hf1 Hf 0.3333 0.6667 0.2500 1
Ag1 Ag 0.3333 0.6667 0.7500 1
F1 F 0.0594 0.4051 0.1465 1
```

Entry 2:
Structure and calculated X-ray powder pattern of NaPrTm4S8 (the GGA-PBE geometry in Alexandria; CuKα).

Most intense lines, 10 to 90 degrees two-theta, in order of falling intensity:
two_theta	I (rel.)	(hkl)
25.90	100	1 1 3
31.31	76	0 2 4
44.47	65	2 0 8
45.28	63	2 2 0
26.06	57	0 2 1
25.57	48	0 1 5
13.50	47	1 0 1
41.07	36	1 2 5
27.19	33	2 0 2
41.29	31	0 3 3
13.19	30	0 0 3
15.51	29	0 1 2

Crystal structure
```
data_NaPrTm4S8
_chemical_formula_sum 'Na3 Pr3 Tm12 S24'
_symmetry_space_group_name_H-M 'R 3 m'
_symmetry_Int_Tables_number 160
_symmetry_space_group_name_Hall 'R 3 -2"'
_cell_length_a 8.0114
_cell_length_b 8.0114
_cell_length_c 20.1396
_cell_angle_alpha 90.00
_cell_angle_beta 90.00
_cell_angle_gamma 120.00
loop_
_atom_site_label
_atom_site_type_symbol
_atom_site_fract_x
_atom_site_fract_y
_atom_site_fract_z
_atom_site_occupancy
Na1 Na 0.0000 0.0000 0.0000 1
Pr1 Pr 0.0000 0.0000 0.3683 1
Tm1 Tm 0.0000 0.0000 0.7461 1
Tm2 Tm 0.0122 0.5061 0.8736 1
S1 S 0.0000 0.0000 0.1346 1
S2 S 0.0000 0.0000 0.6142 1
S3 S 0.0126 0.5063 0.1286 1
S4 S 0.1782 0.3564 0.9472 1
```

Entry 3:
Structure and calculated X-ray powder pattern of Pm4HoAl (the GGA-PBE geometry in Alexandria; CuKα).

Most intense lines, 10 to 90 degrees two-theta, in order of falling intensity:
two_theta	I (rel.)	(hkl)
32.38	100	2 2 1
31.09	71	3 1 -1
28.81	58	1 1 -2
34.09	44	1 3 -2
28.29	42	1 3 1
33.58	38	1 5 0
33.40	31	2 4 -1
25.32	30	0 4 0
53.38	23	4 2 -3
50.17	16	1 7 1
50.70	16	1 1 3
36.07	15	3 3 -1

Crystal structure
```
data_Pm4HoAl
_chemical_formula_sum 'Pm16 Ho4 Al4'
_symmetry_space_group_name_H-M 'C 1 2/c 1'
_symmetry_Int_Tables_number 15
_cell_length_a 8.907
_cell_length_b 14.073
_cell_length_c 6.356
_cell_angle_alpha 90.00
_cell_angle_beta 109.27
_cell_angle_gamma 90.00
loop_
_symmetry_equiv_pos_as_xyz
'x,y,z'
'-x,-y,-z'
'-x,y,-z+1/2'
'x,-y,z+1/2'
'x+1/2,y+1/2,z'
'-x+1/2,-y+1/2,-z'
'-x+1/2,y+1/2,-z+1/2'
'x+1/2,-y+1/2,z+1/2'
loop_
_atom_site_label
_atom_site_type_symbol
_atom_site_fract_x
_atom_site_fract_y
_atom_site_fract_z
_atom_site_occupancy
Pm1 Pm 0.100 0.184 0.047 1
Pm2 Pm 0.219 0.387 0.375 1
Ho1 Ho 0.000 0.408 0.750 1
Al1 Al 0.000 0.000 0.250 1
```

Entry 4:
Structure and calculated X-ray powder pattern of SrHg2Pb2Au (the GGA-PBE geometry in Alexandria; CuKα).

Most intense lines, 10 to 90 degrees two-theta, in order of falling intensity:
two_theta	I (rel.)	(hkl)
29.05	100	1 1 2
39.07	83	1 1 6
19.92	82	1 0 1
39.38	66	2 0 0
54.74	46	2 0 8
33.12	45	1 1 4
36.45	36	0 0 8
37.49	31	1 0 7
71.20	29	3 1 6
56.92	23	2 2 0
69.50	23	2 2 8
44.51	22	2 1 1

Crystal structure
```
data_SrHg2Pb2Au
_chemical_formula_sum 'Sr2 Hg4 Pb4 Au2'
_symmetry_space_group_name_H-M 'I 4/m m m'
_symmetry_Int_Tables_number 139
_symmetry_space_group_name_Hall '-I 4 2'
_cell_length_a 4.576
_cell_length_b 4.576
_cell_length_c 19.719
_cell_angle_alpha 90.00
_cell_angle_beta 90.00
_cell_angle_gamma 90.00
loop_
_atom_site_label
_atom_site_type_symbol
_atom_site_fract_x
_atom_site_fract_y
_atom_site_fract_z
_atom_site_occupancy
Sr1 Sr 0.000 0.000 0.000 1
Hg1 Hg 0.000 0.000 0.364 1
Pb1 Pb 0.000 0.500 0.250 1
Au1 Au 0.000 0.000 0.500 1
```

Entry 5:
Structure and calculated X-ray powder pattern of Pm7Y3Th (the GGA-PBE geometry in Alexandria; CuKα).

Most intense lines, 10 to 90 degrees two-theta, in order of falling intensity:
two_theta	I (rel.)	(hkl)
30.44	100	0 2 1
35.37	67	2 0 2
30.70	31	0 0 3
60.45	27	2 2 3
51.06	24	0 2 4
50.71	23	2 2 0
10.13	21	0 0 1
60.30	14	4 0 1
60.76	14	2 0 5
63.34	12	0 4 2
82.60	12	2 4 1
85.29	11	4 2 2

Crystal structure
```
data_Pm7Y3Th
_chemical_formula_sum 'Pm7 Y3 Th1'
_symmetry_space_group_name_H-M 'P 3 m 1'
_symmetry_Int_Tables_number 156
_cell_length_a 7.2015
_cell_length_b 7.2015
_cell_length_c 8.7361
_cell_angle_alpha 90.00
_cell_angle_beta 90.00
_cell_angle_gamma 120.00
loop_
_symmetry_equiv_pos_as_xyz
'x,y,z'
'-y,x-y,z'
'-x+y,-x,z'
'-y,-x,z'
'-x+y,y,z'
'x,x-y,z'
loop_
_atom_site_label
_atom_site_type_symbol
_atom_site_fract_x
_atom_site_fract_y
_atom_site_fract_z
_atom_site_occupancy
Pm1 Pm 0.0000 0.0000 0.0000 1
Pm2 Pm 0.0064 0.5032 0.9988 1
Pm3 Pm 0.3310 0.1655 0.6648 1
Y1 Y 0.1688 0.3376 0.3375 1
Th1 Th 0.3333 0.6667 0.6678 1
```

Entry 6:
Structure and calculated X-ray powder pattern of NdLuGaCo (the GGA-PBE geometry in Alexandria; CuKα).

Most intense lines, 10 to 90 degrees two-theta, in order of falling intensity:
two_theta	I (rel.)	(hkl)
36.22	100	2 2 0
65.14	35	4 2 2
25.39	20	2 0 0
52.15	17	4 0 0
88.05	16	6 2 0
76.87	11	4 4 0
58.87	8	4 2 0
44.75	6	2 2 2
82.50	4	6 0 0
21.94	1	1 1 1
42.75	1	3 1 1

Crystal structure
```
data_NdLuGaCo
_chemical_formula_sum 'Nd4 Lu4 Ga4 Co4'
_symmetry_space_group_name_H-M 'F -4 3 m'
_symmetry_Int_Tables_number 216
_symmetry_space_group_name_Hall 'F -4 2 3'
_cell_length_a 7.016
_cell_length_b 7.016
_cell_length_c 7.016
_cell_angle_alpha 90.00
_cell_angle_beta 90.00
_cell_angle_gamma 90.00
loop_
_atom_site_label
_atom_site_type_symbol
_atom_site_fract_x
_atom_site_fract_y
_atom_site_fract_z
_atom_site_occupancy
Nd1 Nd 0.000 0.000 0.000 1
Lu1 Lu 0.000 0.000 0.500 1
Ga1 Ga 0.250 0.250 0.750 1
Co1 Co 0.250 0.250 0.250 1
```

Entry 7:
Structure and calculated X-ray powder pattern of Tb3Cu4Si4 (the GGA-PBE geometry in Alexandria; CuKα).

Most intense lines, 10 to 90 degrees two-theta, in order of falling intensity:
two_theta	I (rel.)	(hkl)
36.56	100	1 1 4
35.48	89	1 2 1
45.99	35	0 3 3
43.54	34	2 0 0
35.35	29	0 1 5
23.66	26	0 1 3
65.19	24	2 3 3
28.54	23	1 1 2
39.25	22	0 0 6
22.34	18	1 0 1
59.11	18	1 2 7
40.16	18	1 2 3

Crystal structure
```
data_Tb3Cu4Si4
_chemical_formula_sum 'Tb6 Cu8 Si8'
_symmetry_space_group_name_H-M 'I m m m'
_symmetry_Int_Tables_number 71
_symmetry_space_group_name_Hall '-I 2 2'
_cell_length_a 4.157
_cell_length_b 6.557
_cell_length_c 13.770
_cell_angle_alpha 90.00
_cell_angle_beta 90.00
_cell_angle_gamma 90.00
loop_
_atom_site_label
_atom_site_type_symbol
_atom_site_fract_x
_atom_site_fract_y
_atom_site_fract_z
_atom_site_occupancy
Tb1 Tb 0.000 0.000 0.000 1
Tb2 Tb 0.000 0.500 0.130 1
Cu1 Cu 0.000 0.310 0.332 1
Si1 Si 0.000 0.000 0.216 1
Si2 Si 0.000 0.184 0.500 1
```

Entry 8:
Structure and calculated X-ray powder pattern of Hf2Th (the GGA-PBE geometry in Alexandria; CuKα).

Most intense lines, 10 to 90 degrees two-theta, in order of falling intensity:
two_theta	I (rel.)	(hkl)
33.16	100	1 0 3
38.72	34	1 1 0
66.57	28	2 1 3
55.36	22	1 1 6
37.98	16	0 0 6
55.91	12	2 0 0
65.57	12	1 0 9
69.59	11	2 0 6
83.05	4	2 2 0
53.00	4	1 0 7
25.06	3	0 0 4
46.68	2	1 1 4

Crystal structure
```
data_Hf2Th
_chemical_formula_sum 'Hf4 Th2'
_symmetry_space_group_name_H-M 'I 4/m m m'
_symmetry_Int_Tables_number 139
_symmetry_space_group_name_Hall '-I 4 2'
_cell_length_a 3.289
_cell_length_b 3.289
_cell_length_c 14.213
_cell_angle_alpha 90.00
_cell_angle_beta 90.00
_cell_angle_gamma 90.00
loop_
_atom_site_label
_atom_site_type_symbol
_atom_site_fract_x
_atom_site_fract_y
_atom_site_fract_z
_atom_site_occupancy
Hf1 Hf 0.000 0.000 0.178 1
Th1 Th 0.000 0.000 0.500 1
```

Entry 9:
Structure and calculated X-ray powder pattern of LiHo4Al2 (the GGA-PBE geometry in Alexandria; CuKα).

Most intense lines, 10 to 90 degrees two-theta, in order of falling intensity:
two_theta	I (rel.)	(hkl)
24.88	100	1 0 4
35.21	61	1 1 0
35.73	53	0 1 8
43.60	23	0 2 4
57.23	21	2 1 4
63.52	20	1 2 8
51.04	19	2 0 8
57.94	16	1 1 12
63.19	11	3 0 0
85.42	9	3 1 8
79.91	8	1 3 4
64.51	7	1 0 16

Crystal structure
```
data_LiHo4Al2
_chemical_formula_sum 'Li3 Ho12 Al6'
_symmetry_space_group_name_H-M 'R -3 m'
_symmetry_Int_Tables_number 166
_symmetry_space_group_name_Hall '-R 3 2"'
_cell_length_a 5.0973
_cell_length_b 5.0973
_cell_length_c 24.4576
_cell_angle_alpha 90.00
_cell_angle_beta 90.00
_cell_angle_gamma 120.00
loop_
_atom_site_label
_atom_site_type_symbol
_atom_site_fract_x
_atom_site_fract_y
_atom_site_fract_z
_atom_site_occupancy
Li1 Li 0.0000 0.0000 0.0000 1
Ho1 Ho 0.0000 0.0000 0.1297 1
Ho2 Ho 0.0000 0.0000 0.3825 1
Al1 Al 0.0000 0.0000 0.2553 1
```

Entry 10:
Structure and calculated X-ray powder pattern of Mg4Te5 (the GGA-PBE geometry in Alexandria; CuKα).

Most intense lines, 10 to 90 degrees two-theta, in order of falling intensity:
two_theta	I (rel.)	(hkl)
34.59	100	1 1 2
33.02	80	3 0 0
32.47	62	2 1 1
23.73	53	1 1 1
48.57	35	2 2 2
21.84	32	2 0 0
29.03	29	2 1 0
53.85	25	4 0 2
30.78	24	1 0 2
51.08	22	3 2 1
69.70	18	3 0 4
49.93	17	3 1 2

Crystal structure
```
data_Mg4Te5
_chemical_formula_sum 'Mg8 Te10'
_symmetry_space_group_name_H-M 'P 63/m c m'
_symmetry_Int_Tables_number 193
_symmetry_space_group_name_Hall '-P 6c 2'
_cell_length_a 9.3964
_cell_length_b 9.3964
_cell_length_c 6.2207
_cell_angle_alpha 90.00
_cell_angle_beta 90.00
_cell_angle_gamma 120.00
loop_
_atom_site_label
_atom_site_type_symbol
_atom_site_fract_x
_atom_site_fract_y
_atom_site_fract_z
_atom_site_occupancy
Mg1 Mg 0.0000 0.0000 0.0000 1
Mg2 Mg 0.0000 0.3553 0.2500 1
Te1 Te 0.0000 0.2655 0.7500 1
Te2 Te 0.3333 0.6667 0.0000 1
```

Entry 11:
Structure and calculated X-ray powder pattern of CaNd3Pt (the GGA-PBE geometry in Alexandria; CuKα).

Most intense lines, 10 to 90 degrees two-theta, in order of falling intensity:
two_theta	I (rel.)	(hkl)
11.07	100	1 0 0
33.59	79	1 0 -4
32.86	75	2 2 0
33.00	71	3 0 -2
32.27	65	2 0 2
29.84	62	1 2 -2
28.91	51	2 1 1
35.20	38	0 0 4
27.99	37	1 1 -3
40.53	35	1 3 -2
17.40	34	0 0 2
43.46	32	4 0 -2

Crystal structure
```
data_CaNd3Pt
_chemical_formula_sum 'Ca4 Nd12 Pt4'
_symmetry_space_group_name_H-M 'P 1 21/c 1'
_symmetry_Int_Tables_number 14
_cell_length_a 8.368
_cell_length_b 7.454
_cell_length_c 10.676
_cell_angle_alpha 90.00
_cell_angle_beta 107.28
_cell_angle_gamma 90.00
loop_
_symmetry_equiv_pos_as_xyz
'x,y,z'
'-x,-y,-z'
'-x,y+1/2,-z+1/2'
'x,-y+1/2,z+1/2'
loop_
_atom_site_label
_atom_site_type_symbol
_atom_site_fract_x
_atom_site_fract_y
_atom_site_fract_z
_atom_site_occupancy
Ca1 Ca 0.193 0.039 0.261 1
Nd1 Nd 0.068 0.709 0.025 1
Nd2 Nd 0.279 0.509 0.373 1
Nd3 Nd 0.411 0.131 0.608 1
Pt1 Pt 0.439 0.735 0.604 1
```